This entry pairs a crystal structure of LiNiBO3 with its simulated PXRD pattern. Radiation: Cu Kα X-rays. Structure: a GGA+U-relaxed structure.

Main lines, in order of rising 2θ (2θ = 15–90°):
- 2θ = 22.00°, I = 1000
- 2θ = 28.59°, I = 480
- 2θ = 31.38°, I = 213
- 2θ = 36.37°, I = 718
- 2θ = 38.61°, I = 347
- 2θ = 44.89°, I = 283
- 2θ = 46.81°, I = 213
- 2θ = 48.73°, I = 184
- 2θ = 54.07°, I = 275
- 2θ = 55.77°, I = 365

Structure:
```
data_LiNiBO3
_chemical_formula_sum 'Li3 Ni3 B3 O9'
_symmetry_space_group_name_H-M 'P -6'
_symmetry_Int_Tables_number 174
_cell_length_a 8.0805
_cell_length_b 8.0805
_cell_length_c 3.1218
_cell_angle_alpha 90.00
_cell_angle_beta 90.00
_cell_angle_gamma 120.00
loop_
_symmetry_equiv_pos_as_xyz
'x,y,z'
'-x+y,-x,-z'
'-y,x-y,z'
'x,y,-z'
'-x+y,-x,z'
'-y,x-y,-z'
loop_
_atom_site_label
_atom_site_fract_x
_atom_site_fract_y
_atom_site_fract_z
Li1 0.0047 0.7078 0.0000
Ni1 0.3802 0.0062 0.5000
B1 0.0000 0.0000 0.5000
B2 0.3333 0.6667 0.0000
B3 0.6667 0.3333 0.5000
O1 0.0964 0.1989 0.5000
O2 0.1368 0.5480 0.0000
O3 0.4787 0.2922 0.5000
```